No. 1
Calculated PXRD pattern
Compound: Li5Ag2Ge2
Radiation: copper Kα
Structure: the PBE geometry in Alexandria
Neutral-atom scattering factors, no anomalous dispersion.

```
data_Li5Ag2Ge2
_chemical_formula_sum 'Li20 Ag8 Ge8'
_cell_length_a 13.508
_cell_length_b 8.454
_cell_length_c 5.320
_cell_angle_alpha 90.00
_cell_angle_beta 90.00
_cell_angle_gamma 90.00
_symmetry_space_group_name_H-M 'C m c e'
_symmetry_Int_Tables_number 64
_symmetry_space_group_name_Hall '-C 2ac 2'
loop_
_atom_site_label
_atom_site_fract_x
_atom_site_fract_y
_atom_site_fract_z
_atom_site_occupancy
Li1 0.000 0.000 0.000 1
Li2 0.159 0.250 0.249 1
Ag1 0.000 0.163 0.500 1
Ge1 0.223 0.000 0.500 1
```

The 10 most intense peaks (2θ from 10° to 90°), most intense first:
index, 2θ (°), intensity
1 1 1, 20.80, 100
2 2 0, 24.85, 94
4 0 0, 26.39, 84
3 3 1, 41.44, 81
5 1 1, 38.88, 53
1 3 1, 36.70, 52
2 2 2, 42.32, 52
0 0 2, 33.70, 51
4 0 2, 43.30, 50
3 3 3, 65.55, 42

No. 2
Calculated PXRD pattern
Compound: Tc3Os
Radiation: copper Kα
Structure: the PBE geometry in Alexandria
Neutral-atom scattering factors, no anomalous dispersion.

```
data_Tc3Os
_chemical_formula_sum 'Tc6 Os2'
_cell_length_a 4.904
_cell_length_b 4.904
_cell_length_c 4.904
_cell_angle_alpha 90.00
_cell_angle_beta 90.00
_cell_angle_gamma 90.00
_symmetry_space_group_name_H-M 'P m -3 n'
_symmetry_Int_Tables_number 223
_symmetry_space_group_name_Hall '-P 4n 2 3'
loop_
_atom_site_label
_atom_site_fract_x
_atom_site_fract_y
_atom_site_fract_z
_atom_site_occupancy
Tc1 0.000 0.250 0.500 1
Os1 0.000 0.000 0.000 1
```

The 10 most intense peaks (2θ from 10° to 90°), most intense first:
index, 2θ (°), intensity
2 1 1, 45.30, 100
2 1 0, 41.16, 64
3 2 1, 72.06, 50
2 0 0, 36.65, 45
1 1 0, 25.69, 19
4 2 0, 89.35, 15
4 0 0, 77.93, 14
3 2 0, 69.06, 13
3 1 0, 59.62, 4
2 2 0, 52.80, 3

No. 3
Calculated PXRD pattern
Compound: Ca5Pa3N8
Radiation: copper Kα
Structure: the PBE geometry in Alexandria
Neutral-atom scattering factors, no anomalous dispersion.

```
data_Ca5Pa3N8
_chemical_formula_sum 'Ca15 Pa9 N24'
_cell_length_a 7.1018
_cell_length_b 7.1018
_cell_length_c 17.0784
_cell_angle_alpha 90.00
_cell_angle_beta 90.00
_cell_angle_gamma 120.00
_symmetry_space_group_name_H-M 'R -3 m'
_symmetry_Int_Tables_number 166
_symmetry_space_group_name_Hall '-R 3 2"'
loop_
_atom_site_label
_atom_site_fract_x
_atom_site_fract_y
_atom_site_fract_z
_atom_site_occupancy
Ca1 0.0000 0.0000 0.0000 1
Ca2 0.0000 0.0000 0.5000 1
Ca3 0.0000 0.5000 0.0000 1
Pa1 0.0000 0.5000 0.5000 1
N1 0.0000 0.0000 0.2395 1
N2 0.0234 0.5117 0.7617 1
```

The 10 most intense peaks (2θ from 10° to 90°), most intense first:
index, 2θ (°), intensity
0 2 4, 35.99, 100
2 0 2, 30.91, 93
0 0 3, 15.57, 82
0 2 1, 29.51, 50
2 2 0, 51.47, 35
2 0 8, 52.16, 33
0 0 6, 31.43, 30
2 2 6, 61.56, 29
1 0 1, 15.31, 28
2 2 3, 54.10, 24